For Cs2BeCl5, the GGA-PBE geometry in Alexandria gives the calculated powder diffractogram in this record (Cu Kα X-rays).

Largest 6 diffraction maxima, sorted by position, 10 to 80 degrees two-theta:
d [Å]  Position (°2θ)  intensity  index
5.190  17.08  44.8  1 1 0
3.692  24.11  56.7  1 1 2
3.008  29.70  100.0  2 0 2
2.595  34.56  31.3  2 2 0
2.323  38.76  27.4  3 1 0
1.846  49.37  20.8  2 2 4

Structural model:
```
data_Cs2BeCl5
_chemical_formula_sum 'Cs4 Be2 Cl10'
_space_group_name_H-M_alt 'I 4 m m'
_space_group_IT_number 107
_space_group_name_Hall 'I 4 -2'
_cell_length_a 7.340
_cell_length_b 7.340
_cell_length_c 10.505
_cell_angle_alpha 90.00
_cell_angle_beta 90.00
_cell_angle_gamma 90.00
loop_
_atom_site_label
_atom_site_fract_x
_atom_site_fract_y
_atom_site_fract_z
Cs1 0.000 0.500 0.000
Be1 0.000 0.000 0.196
Cl1 0.000 0.000 0.005
Cl2 0.205 0.205 0.255
```